Record 1
This entry pairs a crystal structure of Tb3Ni13B2 with its theoretical X-ray diffraction stick pattern. Radiation: Cu Kα, 1.54184 Å. Structure: a structure optimized by DFT (PBE).
Lines closer than 0.1° are merged.

Cell and atoms:
```
data_Tb3Ni13B2
_symmetry_space_group_name_H-M 'P 1'
_symmetry_Int_Tables_number 1
_cell_length_a 4.9569
_cell_length_b 4.9569
_cell_length_c 10.9129
_cell_angle_alpha 90.00
_cell_angle_beta 90.00
_cell_angle_gamma 120.00
loop_
_symmetry_equiv_pos_as_xyz
'x,y,z'
loop_
_atom_site_label
_atom_site_type_symbol
_atom_site_fract_x
_atom_site_fract_y
_atom_site_fract_z
Tb1 Tb 0.0000 0.0000 0.0000
Tb2 Tb 0.0000 0.0000 0.3291
Tb3 Tb 0.0000 0.0000 0.6709
Ni1 Ni 0.0000 0.5000 0.1331
Ni2 Ni 0.0000 0.5000 0.5000
Ni3 Ni 0.0000 0.5000 0.8669
Ni4 Ni 0.3333 0.6667 0.3191
Ni5 Ni 0.3333 0.6667 0.6809
Ni6 Ni 0.5000 0.0000 0.1331
Ni7 Ni 0.5000 0.0000 0.5000
Ni8 Ni 0.5000 0.0000 0.8669
Ni9 Ni 0.5000 0.5000 0.1331
Ni10 Ni 0.5000 0.5000 0.5000
Ni11 Ni 0.5000 0.5000 0.8669
Ni12 Ni 0.6667 0.3333 0.3191
Ni13 Ni 0.6667 0.3333 0.6809
B1 B 0.3333 0.6667 0.0000
B2 B 0.6667 0.3333 0.0000
```

Peak list (10 most intense, 15 to 90 degrees two-theta, sorted by position)
d/Å	intensity
2.775	75
2.478	33
2.146	59
2.048	100
1.819	14
1.482	22
1.466	15
1.388	15
1.332	23
1.239	19

Record 2
This entry pairs a crystal structure of CaTh2Ir9 with its theoretical X-ray diffraction stick pattern. Radiation: Cu Kα, 1.54184 Å. Structure: a structure optimized by DFT (PBE).
Lines closer than 0.1° are merged.

Cell and atoms:
```
data_CaTh2Ir9
_symmetry_space_group_name_H-M 'P 1'
_symmetry_Int_Tables_number 1
_cell_length_a 9.4238
_cell_length_b 9.4238
_cell_length_c 9.4238
_cell_angle_alpha 33.07
_cell_angle_beta 33.07
_cell_angle_gamma 33.07
loop_
_symmetry_equiv_pos_as_xyz
'x,y,z'
loop_
_atom_site_label
_atom_site_type_symbol
_atom_site_fract_x
_atom_site_fract_y
_atom_site_fract_z
Ca1 Ca 0.0000 0.0000 0.0000
Th1 Th 0.1367 0.1367 0.1367
Th2 Th 0.8633 0.8633 0.8633
Ir1 Ir 0.0819 0.5808 0.5808
Ir2 Ir 0.3321 0.3321 0.3321
Ir3 Ir 0.4192 0.4192 0.9181
Ir4 Ir 0.4192 0.9181 0.4192
Ir5 Ir 0.5000 0.5000 0.5000
Ir6 Ir 0.5808 0.0819 0.5808
Ir7 Ir 0.5808 0.5808 0.0819
Ir8 Ir 0.6679 0.6679 0.6679
Ir9 Ir 0.9181 0.4192 0.4192
```

Peak list (10 most intense, 15 to 90 degrees two-theta, sorted by position)
d/Å	intensity
4.576	29
2.682	26
2.314	38
2.297	100
2.225	23
2.193	25
2.151	37
2.130	63
1.462	25
1.341	32

Record 3
This entry pairs a crystal structure of Nd3Sn4Rh2 with its theoretical X-ray diffraction stick pattern. Radiation: Cu Kα, 1.54184 Å. Structure: a structure optimized by DFT (PBE).
Lines closer than 0.1° are merged.

Cell and atoms:
```
data_Nd3Sn4Rh2
_symmetry_space_group_name_H-M 'P 1'
_symmetry_Int_Tables_number 1
_cell_length_a 6.2355
_cell_length_b 6.2355
_cell_length_c 8.8649
_cell_angle_alpha 106.42
_cell_angle_beta 106.42
_cell_angle_gamma 43.67
loop_
_symmetry_equiv_pos_as_xyz
'x,y,z'
loop_
_atom_site_label
_atom_site_type_symbol
_atom_site_fract_x
_atom_site_fract_y
_atom_site_fract_z
Nd1 Nd 0.0000 0.0000 0.0000
Nd2 Nd 0.3691 0.3691 0.3129
Nd3 Nd 0.6309 0.6309 0.6871
Sn1 Sn 0.0876 0.0876 0.3921
Sn2 Sn 0.2944 0.2944 0.9211
Sn3 Sn 0.7056 0.7056 0.0789
Sn4 Sn 0.9124 0.9124 0.6079
Rh1 Rh 0.3050 0.3050 0.6212
Rh2 Rh 0.6950 0.6950 0.3788
```

Peak list (10 most intense, 15 to 90 degrees two-theta, sorted by position)
d/Å	intensity
2.950	69
2.890	45
2.881	100
2.841	59
2.815	43
2.547	19
2.319	69
2.307	81
1.790	23
1.336	31

Record 4
This entry pairs a crystal structure of CdMo with its theoretical X-ray diffraction stick pattern. Radiation: Cu Kα, 1.54184 Å. Structure: a structure optimized by DFT (PBE).
Lines closer than 0.1° are merged.

Cell and atoms:
```
data_CdMo
_symmetry_space_group_name_H-M 'P 1'
_symmetry_Int_Tables_number 1
_cell_length_a 3.2970
_cell_length_b 3.2970
_cell_length_c 6.8848
_cell_angle_alpha 90.00
_cell_angle_beta 90.00
_cell_angle_gamma 90.00
loop_
_symmetry_equiv_pos_as_xyz
'x,y,z'
loop_
_atom_site_label
_atom_site_type_symbol
_atom_site_fract_x
_atom_site_fract_y
_atom_site_fract_z
Cd1 Cd 0.2500 0.2500 0.1372
Cd2 Cd 0.7500 0.7500 0.8628
Mo1 Mo 0.2500 0.2500 0.5841
Mo2 Mo 0.7500 0.7500 0.4159
```

Peak list (10 most intense, 15 to 90 degrees two-theta, sorted by position)
d/Å	intensity
2.974	7
2.381	100
2.331	54
1.721	6
1.649	18
1.635	7
1.385	11
1.355	32
1.271	7
1.191	7